BaTlInS3: computed powder diffraction line list (CuKα), based on a PBE-relaxed structure.
No peak broadening, texture or thermal motion is included.

```
BaTlInS3
1.0
8.4172 -2.6560 0.0000
8.4172 2.6560 0.0000
-2.5988 0.0000 8.0688
Ba Tl In S
2 2 2 6
Direct
0.1532 0.1532 0.1013
0.8468 0.8468 0.8987
0.1467 0.1467 0.5806
0.8533 0.8533 0.4194
0.4950 0.4950 0.2503
0.5050 0.5050 0.7497
0.0035 0.0035 0.7532
0.3439 0.3439 0.1264
0.3533 0.3533 0.6614
0.6467 0.6467 0.3386
0.6561 0.6561 0.8736
0.9965 0.9965 0.2468
```

The 8 most intense peaks (15° ≤ 2θ ≤ 90°), by angle:
Position (°2θ)  I_rel
23.62  67
26.10  37
26.94  100
27.64  37
33.56  28
33.75  38
44.16  21
44.54  21